# 1
Pr3Al7Zn4: computed powder XRD pattern (Cu Kα), based on a PBE-relaxed structure.
Intensities are scaled so that the largest is 100.

Top 8 peaks for 2θ = 15–90°, sorted by position:
2θ/deg  I/Imax  (hkl)
22.33  48  1 1 -1
29.25  58  3 1 0
33.86  100  3 1 -3
34.14  36  6 0 -3
34.30  92  1 1 2
34.49  98  5 1 -2
41.60  54  0 2 0
42.07  35  6 0 0

Structural model:
```
data_Pr3Al7Zn4
_chemical_formula_sum 'Pr6 Al14 Zn8'
_cell_length_a 16.2577
_cell_length_b 4.3421
_cell_length_c 10.0205
_cell_angle_alpha 90.00
_cell_angle_beta 127.57
_cell_angle_gamma 90.00
_symmetry_space_group_name_H-M 'C 1 2/m 1'
_symmetry_Int_Tables_number 12
loop_
_symmetry_equiv_pos_as_xyz
'x,y,z'
'-x,-y,-z'
'-x,y,-z'
'x,-y,z'
'x+1/2,y+1/2,z'
'-x+1/2,-y+1/2,-z'
'-x+1/2,y+1/2,-z'
'x+1/2,-y+1/2,z'
loop_
_atom_site_label
_atom_site_fract_x
_atom_site_fract_y
_atom_site_fract_z
Pr1 0.0000 0.0000 0.0000
Pr2 0.1838 0.5000 0.6885
Al1 0.0000 0.0000 0.5000
Al2 0.0047 0.5000 0.2876
Al3 0.1515 0.0000 0.4186
Al4 0.1664 0.5000 0.0291
Zn1 0.1345 0.0000 0.8607
Zn2 0.1608 0.5000 0.2816
```

---

# 2
Pr3Al3Zn2: computed powder XRD pattern (Cu Kα), based on a PBE-relaxed structure.
Intensities are scaled so that the largest is 100.

Top 8 peaks for 2θ = 15–90°, sorted by position:
2θ/deg  I/Imax  (hkl)
23.98  62  0 2 3
31.53  100  1 1 4
31.96  76  1 3 1
35.34  23  0 0 6
36.15  26  1 3 3
38.96  39  2 0 0
39.50  32  1 3 4
52.94  26  1 3 7

Structural model:
```
data_Pr3Al3Zn2
_chemical_formula_sum 'Pr12 Al12 Zn8'
_cell_length_a 4.6236
_cell_length_b 10.8515
_cell_length_c 15.2376
_cell_angle_alpha 90.00
_cell_angle_beta 90.00
_cell_angle_gamma 90.00
_symmetry_space_group_name_H-M 'C m c m'
_symmetry_Int_Tables_number 63
_symmetry_space_group_name_Hall '-C 2c 2'
loop_
_atom_site_label
_atom_site_fract_x
_atom_site_fract_y
_atom_site_fract_z
Pr1 0.0000 0.0980 0.1097
Pr2 0.0000 0.3788 0.2500
Al1 0.0000 0.3234 0.7500
Al2 0.0000 0.3859 0.0365
Zn1 0.0000 0.2002 0.5976
```

---

# 3
Pr3Al2Zn7: computed powder XRD pattern (Cu Kα), based on a PBE-relaxed structure.
Intensities are scaled so that the largest is 100.

Top 8 peaks for 2θ = 15–90°, sorted by position:
2θ/deg  I/Imax  (hkl)
29.20  26  1 1 0
30.46  22  1 0 7
35.10  100  1 1 6
35.58  27  1 0 9
41.19  23  1 0 11
41.78  57  2 0 0
67.64  20  1 1 18
71.96  24  3 1 6

Structural model:
```
data_Pr3Al2Zn7
_chemical_formula_sum 'Pr6 Al4 Zn14'
_cell_length_a 4.3245
_cell_length_b 4.3245
_cell_length_c 27.9630
_cell_angle_alpha 90.00
_cell_angle_beta 90.00
_cell_angle_gamma 90.00
_symmetry_space_group_name_H-M 'I 4/m m m'
_symmetry_Int_Tables_number 139
_symmetry_space_group_name_Hall '-I 4 2'
loop_
_atom_site_label
_atom_site_fract_x
_atom_site_fract_y
_atom_site_fract_z
Pr1 0.0000 0.0000 0.0000
Pr2 0.0000 0.0000 0.1685
Al1 0.0000 0.0000 0.3692
Zn1 0.0000 0.0000 0.2776
Zn2 0.0000 0.0000 0.5000
Zn3 0.0000 0.5000 0.0795
```

---

# 4
Pr3Al8Zn3: computed powder XRD pattern (Cu Kα), based on a PBE-relaxed structure.
Intensities are scaled so that the largest is 100.

Top 8 peaks for 2θ = 15–90°, sorted by position:
2θ/deg  I/Imax  (hkl)
17.36  17  0 2 0
22.10  26  1 1 0
22.72  19  0 1 3
29.34  21  1 0 3
33.34  19  1 3 0
33.77  23  0 3 3
34.30  100  1 2 3
41.26  23  2 0 0

Structural model:
```
data_Pr3Al8Zn3
_chemical_formula_sum 'Pr6 Al16 Zn6'
_cell_length_a 4.3757
_cell_length_b 10.2145
_cell_length_c 12.7113
_cell_angle_alpha 90.00
_cell_angle_beta 90.00
_cell_angle_gamma 90.00
_symmetry_space_group_name_H-M 'I m m m'
_symmetry_Int_Tables_number 71
_symmetry_space_group_name_Hall '-I 2 2'
loop_
_atom_site_label
_atom_site_fract_x
_atom_site_fract_y
_atom_site_fract_z
Pr1 0.0000 0.0000 0.0000
Pr2 0.0000 0.0000 0.3177
Al1 0.0000 0.2774 0.1308
Al2 0.0000 0.3692 0.3355
Zn1 0.0000 0.2194 0.5000
Zn2 0.0000 0.5000 0.0000
```

---

# 5
Pr2Al3Zn9: computed powder XRD pattern (Cu Kα), based on a PBE-relaxed structure.
Intensities are scaled so that the largest is 100.

Top 8 peaks for 2θ = 15–90°, sorted by position:
2θ/deg  I/Imax  (hkl)
36.56  43  0 2 3
36.71  100  3 1 3
39.57  50  3 3 0
39.73  19  1 3 2
39.97  23  6 0 0
40.09  17  5 1 2
70.00  15  6 4 3
70.45  16  9 1 3

Structural model:
```
data_Pr2Al3Zn9
_chemical_formula_sum 'Pr8 Al12 Zn36'
_cell_length_a 13.5351
_cell_length_b 7.9162
_cell_length_c 9.4053
_cell_angle_alpha 90.00
_cell_angle_beta 90.00
_cell_angle_gamma 90.00
_symmetry_space_group_name_H-M 'C m c m'
_symmetry_Int_Tables_number 63
_symmetry_space_group_name_Hall '-C 2c 2'
loop_
_atom_site_label
_atom_site_fract_x
_atom_site_fract_y
_atom_site_fract_z
Pr1 0.1632 0.1633 0.2500
Al1 0.0000 0.0000 0.0000
Al2 0.1843 0.5000 0.0000
Zn1 0.0000 0.1436 0.7500
Zn2 0.0000 0.3414 0.0591
Zn3 0.0954 0.4469 0.7500
Zn4 0.1559 0.1836 0.5883
```

---

# 6
Pr2Al3Zn5: computed powder XRD pattern (Cu Kα), based on a PBE-relaxed structure.
Intensities are scaled so that the largest is 100.

Top 8 peaks for 2θ = 15–90°, sorted by position:
2θ/deg  I/Imax  (hkl)
22.22  20  1 0 1
32.74  59  1 0 3
33.86  100  1 1 2
41.82  46  2 0 0
47.79  28  1 0 5
54.10  28  2 1 3
65.33  19  2 1 5
71.28  24  3 1 2

Structural model:
```
data_Pr2Al3Zn5
_chemical_formula_sum 'Pr2 Al3 Zn5'
_cell_length_a 4.3200
_cell_length_b 4.3200
_cell_length_c 10.6036
_cell_angle_alpha 90.00
_cell_angle_beta 90.00
_cell_angle_gamma 90.00
_symmetry_space_group_name_H-M 'P -4 m 2'
_symmetry_Int_Tables_number 115
loop_
_symmetry_equiv_pos_as_xyz
'x,y,z'
'y,-x,-z'
'-x,-y,z'
'-y,x,-z'
'-x,y,z'
'-y,-x,-z'
'x,-y,z'
'y,x,-z'
loop_
_atom_site_label
_atom_site_fract_x
_atom_site_fract_y
_atom_site_fract_z
Pr1 0.0000 0.5000 0.2459
Al1 0.0000 0.5000 0.6432
Al2 0.5000 0.5000 0.5000
Zn1 0.0000 0.0000 0.0000
Zn2 0.0000 0.0000 0.5000
Zn3 0.0000 0.5000 0.8762
Zn4 0.5000 0.5000 0.0000
```

---

# 7
Al2Pt3: computed powder XRD pattern (Cu Kα), based on a PBE-relaxed structure.
Intensities are scaled so that the largest is 100.

Top 8 peaks for 2θ = 15–90°, sorted by position:
2θ/deg  I/Imax  (hkl)
29.32  40  1 0 1
34.74  14  0 0 6
41.13  100  1 1 0
54.87  15  1 1 6
59.52  12  2 0 0
67.72  8  2 1 1
73.88  9  1 0 11
74.91  22  2 1 5

Structural model:
```
data_Al2Pt3
_chemical_formula_sum 'Al4 Pt6'
_cell_length_a 3.1065
_cell_length_b 3.1065
_cell_length_c 15.4938
_cell_angle_alpha 90.00
_cell_angle_beta 90.00
_cell_angle_gamma 90.00
_symmetry_space_group_name_H-M 'I 4/m m m'
_symmetry_Int_Tables_number 139
_symmetry_space_group_name_Hall '-I 4 2'
loop_
_atom_site_label
_atom_site_fract_x
_atom_site_fract_y
_atom_site_fract_z
Al1 0.0000 0.0000 0.1019
Pt1 0.0000 0.0000 0.3140
Pt2 0.0000 0.0000 0.5000
```

---

# 8
AlPt3: computed powder XRD pattern (Cu Kα), based on a PBE-relaxed structure.
Intensities are scaled so that the largest is 100.

Top 8 peaks for 2θ = 15–90°, sorted by position:
2θ/deg  I/Imax  (hkl)
32.17  22  1 1 2
38.23  18  2 1 1
39.80  100  2 0 2
45.64  21  0 0 4
46.61  27  2 2 0
67.29  18  2 2 4
80.43  18  2 0 6
81.83  14  4 2 2

Structural model:
```
data_AlPt3
_chemical_formula_sum 'Al4 Pt12'
_cell_length_a 5.5113
_cell_length_b 5.5113
_cell_length_c 7.9502
_cell_angle_alpha 90.00
_cell_angle_beta 90.00
_cell_angle_gamma 90.00
_symmetry_space_group_name_H-M 'P 4/m b m'
_symmetry_Int_Tables_number 127
_symmetry_space_group_name_Hall '-P 4 2ab'
loop_
_atom_site_label
_atom_site_fract_x
_atom_site_fract_y
_atom_site_fract_z
Al1 0.0000 0.5000 0.2357
Pt1 0.0000 0.0000 0.2540
Pt2 0.1879 0.3121 0.5000
Pt3 0.2377 0.7377 0.0000
```